(1)
Calculated powder diffraction line list of Pm2Co for Cu Kα (weighted mean of Kα1 and Kα2), from a cell relaxed with GGA-PBE.
Peak positions follow from Bragg's law for the DFT cell and can differ from measured ones.

Structural model:
```
Pm2Co
1.0
7.0089 0.0000 0.0000
0.0000 4.0552 0.0000
-2.3453 0.0000 5.8795
Pm Co
4 2
direct
0.2473 0.0000 0.2418
0.2527 0.5000 0.7582
0.7473 0.5000 0.2418
0.7527 0.0000 0.7582
0.0000 0.5000 0.0000
0.5000 0.0000 0.0000
```

The 10 most intense peaks (10 to 90 degrees two-theta), in order of rising 2θ:
27.36°, I = 66
30.41°, I = 17
32.62°, I = 100
44.74°, I = 42
48.78°, I = 32
53.24°, I = 11
55.03°, I = 13
56.41°, I = 14
68.34°, I = 11
74.80°, I = 12

=====

(2)
Calculated powder diffraction line list of Th2PaSe6 for Cu Kα (weighted mean of Kα1 and Kα2), from a cell relaxed with GGA-PBE.
Peak positions follow from Bragg's law for the DFT cell and can differ from measured ones.

Structural model:
```
Th2PaSe6
1.0
6.7613 0.0000 0.0000
0.0000 6.7613 0.0000
0.0000 0.0000 13.2425
Th Pa Se
4 2 12
direct
0.0000 0.0000 0.1670
0.0000 0.0000 0.8330
0.5000 0.5000 0.3330
0.5000 0.5000 0.6670
0.0000 0.0000 0.5000
0.5000 0.5000 0.0000
0.1939 0.1939 0.3358
0.1939 0.1939 0.6642
0.1973 0.1973 0.0000
0.3027 0.6973 0.5000
0.3061 0.6939 0.1642
0.3061 0.6939 0.8358
0.6939 0.3061 0.1642
0.6939 0.3061 0.8358
0.6973 0.3027 0.5000
0.8027 0.8027 0.0000
0.8061 0.8061 0.3358
0.8061 0.8061 0.6642
```

The 10 most intense peaks (10 to 90 degrees two-theta), in order of rising 2θ:
18.56°, I = 100
24.08°, I = 53
27.50°, I = 27
36.00°, I = 94
37.63°, I = 30
40.89°, I = 17
45.20°, I = 67
56.77°, I = 18
60.23°, I = 24
73.23°, I = 21

=====

(3)
Calculated powder diffraction line list of NdEuInNi for Cu Kα (weighted mean of Kα1 and Kα2), from a cell relaxed with GGA-PBE.
Peak positions follow from Bragg's law for the DFT cell and can differ from measured ones.

Structural model:
```
NdEuInNi
1.0
7.4657 0.0000 0.0000
0.0000 7.4657 0.0000
0.0000 0.0000 7.4657
Nd Eu In Ni
4 4 4 4
direct
0.0000 0.0000 0.0000
0.0000 0.5000 0.5000
0.5000 0.0000 0.5000
0.5000 0.5000 0.0000
0.0000 0.0000 0.5000
0.0000 0.5000 0.0000
0.5000 0.0000 0.0000
0.5000 0.5000 0.5000
0.2500 0.2500 0.7500
0.2500 0.7500 0.2500
0.7500 0.2500 0.2500
0.7500 0.7500 0.7500
0.2500 0.2500 0.2500
0.2500 0.7500 0.7500
0.7500 0.2500 0.7500
0.7500 0.7500 0.2500
```

The 10 most intense peaks (10 to 90 degrees two-theta), in order of rising 2θ:
20.61°, I = 3
23.84°, I = 7
33.96°, I = 100
41.92°, I = 2
48.79°, I = 18
55.01°, I = 3
60.78°, I = 36
71.48°, I = 11
76.57°, I = 2
81.55°, I = 16

=====

(4)
Calculated powder diffraction line list of Y4RePb for Cu Kα (weighted mean of Kα1 and Kα2), from a cell relaxed with GGA-PBE.
Peak positions follow from Bragg's law for the DFT cell and can differ from measured ones.

Structural model:
```
Y4RePb
1.0
0.0000 4.2847 4.2847
4.2847 0.0000 4.2847
4.2847 4.2847 0.0000
Y Re Pb
4 1 1
direct
0.3770 0.3770 0.3770
0.3770 0.3770 0.8690
0.3770 0.8690 0.3770
0.8690 0.3770 0.3770
0.7500 0.7500 0.7500
0.0000 0.0000 0.0000
```

The 10 most intense peaks (10 to 90 degrees two-theta), in order of rising 2θ:
29.48°, I = 55
34.72°, I = 100
36.32°, I = 19
52.30°, I = 23
55.74°, I = 34
61.18°, I = 26
69.36°, I = 10
72.30°, I = 12
84.63°, I = 12
87.42°, I = 22